1.
Structure and computed powder diffractogram of SiNiSb (a PBE-relaxed structure; CuKα).
No peak broadening, texture or thermal motion is included.

Peak list (10 most intense, 10° ≤ 2θ ≤ 90°, low angle first)
| 2theta | I (rel.) |
| --- | --- |
| 25.2 | 33 |
| 30.4 | 39 |
| 31.6 | 63 |
| 34.9 | 92 |
| 39.9 | 100 |
| 46.1 | 54 |
| 54.0 | 53 |
| 61.2 | 18 |
| 69.2 | 19 |
| 78.1 | 25 |

```
data_SiNiSb
_cell_length_a 10.596
_cell_length_b 3.396
_cell_length_c 5.878
_cell_angle_alpha 90.00
_cell_angle_beta 90.00
_cell_angle_gamma 90.00
_symmetry_space_group_name_H-M 'P 1'
_symmetry_Int_Tables_number 1
_symmetry_space_group_name_Hall 'P 1'
loop_
_atom_site_label
_atom_site_type_symbol
_atom_site_fract_x
_atom_site_fract_y
_atom_site_fract_z
Si1 Si 0.124 0.000 0.000
Si2 Si 0.124 0.500 0.500
Si3 Si 0.876 0.000 0.000
Si4 Si 0.876 0.500 0.500
Ni1 Ni 0.000 0.000 0.333
Ni2 Ni 0.000 0.500 0.833
Ni3 Ni 0.500 0.000 0.332
Ni4 Ni 0.500 0.500 0.832
Sb1 Sb 0.337 0.000 0.665
Sb2 Sb 0.337 0.500 0.165
Sb3 Sb 0.663 0.000 0.665
Sb4 Sb 0.663 0.500 0.165
```

2.
Structure and computed powder diffractogram of La3SmDy6Er2 (a PBE-relaxed structure; CuKα).
No peak broadening, texture or thermal motion is included.

Peak list (10 most intense, 10° ≤ 2θ ≤ 90°, low angle first)
| 2theta | I (rel.) |
| --- | --- |
| 30.4 | 100 |
| 30.5 | 33 |
| 35.3 | 67 |
| 50.8 | 24 |
| 50.9 | 24 |
| 60.4 | 43 |
| 60.5 | 14 |
| 63.4 | 12 |
| 82.7 | 12 |
| 85.4 | 11 |

```
data_La3SmDy6Er2
_cell_length_a 6.231
_cell_length_b 6.231
_cell_length_c 11.888
_cell_angle_alpha 95.01
_cell_angle_beta 95.01
_cell_angle_gamma 120.01
_symmetry_space_group_name_H-M 'P 1'
_symmetry_Int_Tables_number 1
_symmetry_space_group_name_Hall 'P 1'
loop_
_atom_site_label
_atom_site_type_symbol
_atom_site_fract_x
_atom_site_fract_y
_atom_site_fract_z
La1 La 0.000 0.000 0.000
La2 La 0.333 0.667 0.000
La3 La 0.667 0.333 0.000
Sm1 Sm 0.500 0.500 0.500
Dy1 Dy 0.085 0.419 0.256
Dy2 Dy 0.247 0.247 0.744
Dy3 Dy 0.419 0.085 0.256
Dy4 Dy 0.581 0.915 0.744
Dy5 Dy 0.753 0.753 0.256
Dy6 Dy 0.915 0.581 0.744
Er1 Er 0.167 0.833 0.500
Er2 Er 0.833 0.167 0.500
```

3.
Structure and computed powder diffractogram of La3Ce2In2 (a PBE-relaxed structure; CuKα).
No peak broadening, texture or thermal motion is included.

Peak list (10 most intense, 10° ≤ 2θ ≤ 90°, low angle first)
| 2theta | I (rel.) |
| --- | --- |
| 30.4 | 89 |
| 30.7 | 100 |
| 32.4 | 67 |
| 32.5 | 33 |
| 33.3 | 75 |
| 33.8 | 26 |
| 39.4 | 23 |
| 47.8 | 35 |
| 59.3 | 20 |
| 60.0 | 20 |

```
data_La3Ce2In2
_cell_length_a 6.829
_cell_length_b 6.433
_cell_length_c 11.487
_cell_angle_alpha 90.00
_cell_angle_beta 121.54
_cell_angle_gamma 90.00
_symmetry_space_group_name_H-M 'P 1'
_symmetry_Int_Tables_number 1
_symmetry_space_group_name_Hall 'P 1'
loop_
_atom_site_label
_atom_site_type_symbol
_atom_site_fract_x
_atom_site_fract_y
_atom_site_fract_z
La1 La 0.000 0.000 0.000
La2 La 0.000 0.500 0.500
La3 La 0.321 0.011 0.671
La4 La 0.321 0.489 0.171
La5 La 0.679 0.511 0.829
La6 La 0.679 0.989 0.329
Ce1 Ce 0.376 0.660 0.426
Ce2 Ce 0.376 0.840 0.926
Ce3 Ce 0.624 0.160 0.074
Ce4 Ce 0.624 0.340 0.574
In1 In 0.162 0.145 0.333
In2 In 0.162 0.355 0.833
In3 In 0.838 0.645 0.167
In4 In 0.838 0.855 0.667
```

4.
Structure and computed powder diffractogram of Dy6Sc5 (a PBE-relaxed structure; CuKα).
No peak broadening, texture or thermal motion is included.

Peak list (10 most intense, 10° ≤ 2θ ≤ 90°, low angle first)
| 2theta | I (rel.) |
| --- | --- |
| 22.5 | 26 |
| 24.5 | 53 |
| 31.3 | 15 |
| 33.5 | 100 |
| 33.9 | 34 |
| 34.3 | 14 |
| 34.5 | 14 |
| 35.9 | 16 |
| 55.2 | 14 |
| 60.4 | 22 |

```
data_Dy6Sc5
_cell_length_a 8.892
_cell_length_b 8.892
_cell_length_c 8.892
_cell_angle_alpha 145.39
_cell_angle_beta 127.14
_cell_angle_gamma 64.74
_symmetry_space_group_name_H-M 'P 1'
_symmetry_Int_Tables_number 1
_symmetry_space_group_name_Hall 'P 1'
loop_
_atom_site_label
_atom_site_type_symbol
_atom_site_fract_x
_atom_site_fract_y
_atom_site_fract_z
Dy1 Dy 0.068 0.857 0.211
Dy2 Dy 0.212 0.500 0.712
Dy3 Dy 0.354 0.143 0.211
Dy4 Dy 0.646 0.857 0.789
Dy5 Dy 0.788 0.500 0.288
Dy6 Dy 0.932 0.143 0.789
Sc1 Sc 0.203 0.703 0.500
Sc2 Sc 0.338 0.338 0.000
Sc3 Sc 0.500 0.000 0.500
Sc4 Sc 0.662 0.662 0.000
Sc5 Sc 0.797 0.297 0.500
```

5.
Structure and computed powder diffractogram of Na11Ac (a PBE-relaxed structure; CuKα).
No peak broadening, texture or thermal motion is included.

Peak list (10 most intense, 10° ≤ 2θ ≤ 90°, low angle first)
| 2theta | I (rel.) |
| --- | --- |
| 14.8 | 41 |
| 17.1 | 30 |
| 22.7 | 35 |
| 25.7 | 25 |
| 28.5 | 41 |
| 29.8 | 100 |
| 35.7 | 23 |
| 42.7 | 18 |
| 47.2 | 20 |
| 53.0 | 29 |

```
data_Na11Ac
_cell_length_a 11.967
_cell_length_b 11.967
_cell_length_c 3.679
_cell_angle_alpha 90.00
_cell_angle_beta 90.00
_cell_angle_gamma 120.00
_symmetry_space_group_name_H-M 'P 1'
_symmetry_Int_Tables_number 1
_symmetry_space_group_name_Hall 'P 1'
loop_
_atom_site_label
_atom_site_type_symbol
_atom_site_fract_x
_atom_site_fract_y
_atom_site_fract_z
Na1 Na 0.000 0.500 0.000
Na2 Na 0.172 0.345 0.500
Na3 Na 0.172 0.828 0.500
Na4 Na 0.333 0.667 0.000
Na5 Na 0.345 0.172 0.500
Na6 Na 0.500 0.000 0.000
Na7 Na 0.500 0.500 0.000
Na8 Na 0.655 0.828 0.500
Na9 Na 0.667 0.333 0.000
Na10 Na 0.828 0.172 0.500
Na11 Na 0.828 0.655 0.500
Ac1 Ac 0.000 0.000 0.000
```

6.
Structure and computed powder diffractogram of Ta7Te24I10 (a PBE-relaxed structure; CuKα).
No peak broadening, texture or thermal motion is included.

Peak list (10 most intense, 10° ≤ 2θ ≤ 90°, low angle first)
| 2theta | I (rel.) |
| --- | --- |
| 12.2 | 100 |
| 12.9 | 35 |
| 13.5 | 26 |
| 26.6 | 31 |
| 29.6 | 20 |
| 30.0 | 21 |
| 30.9 | 20 |
| 31.8 | 20 |
| 32.0 | 20 |
| 33.6 | 22 |

```
data_Ta7Te24I10
_cell_length_a 6.877
_cell_length_b 8.195
_cell_length_c 27.591
_cell_angle_alpha 96.74
_cell_angle_beta 90.34
_cell_angle_gamma 101.76
_symmetry_space_group_name_H-M 'P 1'
_symmetry_Int_Tables_number 1
_symmetry_space_group_name_Hall 'P 1'
loop_
_atom_site_label
_atom_site_type_symbol
_atom_site_fract_x
_atom_site_fract_y
_atom_site_fract_z
Ta1 Ta 0.000 0.000 0.000
Ta2 Ta 0.110 0.438 0.215
Ta3 Ta 0.250 0.999 0.500
Ta4 Ta 0.390 0.564 0.785
Ta5 Ta 0.610 0.436 0.215
Ta6 Ta 0.750 0.001 0.500
Ta7 Ta 0.890 0.562 0.785
Te1 Te 0.006 0.017 0.584
Te2 Te 0.067 0.276 0.484
Te3 Te 0.079 0.316 0.734
Te4 Te 0.092 0.358 0.838
Te5 Te 0.187 0.764 0.732
Te6 Te 0.202 0.819 0.834
Te7 Te 0.292 0.161 0.231
Te8 Te 0.356 0.430 0.130
Te9 Te 0.367 0.456 0.298
Te10 Te 0.427 0.714 0.200
Te11 Te 0.439 0.751 0.449
Te12 Te 0.452 0.795 0.552
Te13 Te 0.548 0.205 0.448
Te14 Te 0.561 0.249 0.551
Te15 Te 0.573 0.286 0.800
Te16 Te 0.633 0.544 0.702
Te17 Te 0.644 0.570 0.870
Te18 Te 0.708 0.839 0.769
Te19 Te 0.798 0.181 0.166
Te20 Te 0.813 0.236 0.268
Te21 Te 0.908 0.642 0.162
Te22 Te 0.921 0.684 0.266
Te23 Te 0.933 0.724 0.516
Te24 Te 0.994 0.983 0.416
I1 I 0.103 0.422 0.625
I2 I 0.166 0.742 0.954
I3 I 0.241 0.012 0.082
I4 I 0.288 0.232 0.964
I5 I 0.461 0.851 0.337
I6 I 0.539 0.149 0.663
I7 I 0.712 0.768 0.036
I8 I 0.759 0.988 0.918
I9 I 0.834 0.258 0.046
I10 I 0.897 0.578 0.375
```

7.
Structure and computed powder diffractogram of Nd10Er6Th (a PBE-relaxed structure; CuKα).
No peak broadening, texture or thermal motion is included.

Peak list (10 most intense, 10° ≤ 2θ ≤ 90°, low angle first)
| 2theta | I (rel.) |
| --- | --- |
| 24.6 | 6 |
| 30.7 | 17 |
| 31.6 | 100 |
| 45.3 | 15 |
| 48.5 | 7 |
| 56.1 | 11 |
| 56.3 | 17 |
| 62.3 | 5 |
| 65.8 | 5 |
| 74.9 | 5 |

```
data_Nd10Er6Th
_cell_length_a 9.803
_cell_length_b 9.803
_cell_length_c 6.961
_cell_angle_alpha 90.00
_cell_angle_beta 90.00
_cell_angle_gamma 120.00
_symmetry_space_group_name_H-M 'P 1'
_symmetry_Int_Tables_number 1
_symmetry_space_group_name_Hall 'P 1'
loop_
_atom_site_label
_atom_site_type_symbol
_atom_site_fract_x
_atom_site_fract_y
_atom_site_fract_z
Nd1 Nd 0.000 0.279 0.324
Nd2 Nd 0.000 0.721 0.676
Nd3 Nd 0.279 0.000 0.324
Nd4 Nd 0.279 0.279 0.676
Nd5 Nd 0.333 0.667 0.000
Nd6 Nd 0.333 0.667 0.500
Nd7 Nd 0.667 0.333 0.000
Nd8 Nd 0.667 0.333 0.500
Nd9 Nd 0.721 0.000 0.676
Nd10 Nd 0.721 0.721 0.324
Er1 Er 0.000 0.363 0.821
Er2 Er 0.000 0.637 0.179
Er3 Er 0.363 0.000 0.821
Er4 Er 0.363 0.363 0.179
Er5 Er 0.637 0.000 0.179
Er6 Er 0.637 0.637 0.821
Th1 Th 0.000 0.000 0.000
```

8.
Structure and computed powder diffractogram of BiTeO4 (a PBE-relaxed structure; CuKα).
No peak broadening, texture or thermal motion is included.

Peak list (10 most intense, 10° ≤ 2θ ≤ 90°, low angle first)
| 2theta | I (rel.) |
| --- | --- |
| 27.5 | 100 |
| 28.0 | 94 |
| 30.6 | 30 |
| 31.4 | 23 |
| 34.4 | 27 |
| 44.4 | 21 |
| 46.1 | 14 |
| 47.3 | 19 |
| 52.2 | 15 |
| 57.3 | 16 |

```
data_BiTeO4
_cell_length_a 7.061
_cell_length_b 7.061
_cell_length_c 10.421
_cell_angle_alpha 113.03
_cell_angle_beta 113.03
_cell_angle_gamma 47.60
_symmetry_space_group_name_H-M 'P 1'
_symmetry_Int_Tables_number 1
_symmetry_space_group_name_Hall 'P 1'
loop_
_atom_site_label
_atom_site_type_symbol
_atom_site_fract_x
_atom_site_fract_y
_atom_site_fract_z
Bi1 Bi 0.000 0.000 0.000
Bi2 Bi 0.267 0.285 0.903
Bi3 Bi 0.715 0.733 0.097
Bi4 Bi 0.911 0.089 0.500
Te1 Te 0.129 0.415 0.370
Te2 Te 0.440 0.558 0.749
Te3 Te 0.442 0.560 0.251
Te4 Te 0.585 0.871 0.630
O1 O 0.030 0.339 0.161
O2 O 0.100 0.690 0.122
O3 O 0.148 0.708 0.594
O4 O 0.227 0.574 0.835
O5 O 0.228 0.135 0.655
O6 O 0.292 0.852 0.406
O7 O 0.310 0.900 0.878
O8 O 0.426 0.773 0.165
O9 O 0.431 0.354 0.335
O10 O 0.584 0.212 0.633
O11 O 0.591 0.252 0.098
O12 O 0.646 0.569 0.665
O13 O 0.661 0.970 0.839
O14 O 0.748 0.409 0.902
O15 O 0.788 0.416 0.367
O16 O 0.865 0.772 0.345
```

9.
Structure and computed powder diffractogram of CaLaPmCd (a PBE-relaxed structure; CuKα).
No peak broadening, texture or thermal motion is included.

Peak list (10 most intense, 10° ≤ 2θ ≤ 90°, low angle first)
| 2theta | I (rel.) |
| --- | --- |
| 25.7 | 9 |
| 30.4 | 100 |
| 34.0 | 39 |
| 37.5 | 12 |
| 48.9 | 14 |
| 51.5 | 20 |
| 58.7 | 30 |
| 63.2 | 19 |
| 79.8 | 6 |
| 83.8 | 13 |

```
data_CaLaPmCd
_cell_length_a 3.724
_cell_length_b 3.724
_cell_length_c 9.605
_cell_angle_alpha 90.00
_cell_angle_beta 90.00
_cell_angle_gamma 90.00
_symmetry_space_group_name_H-M 'P 1'
_symmetry_Int_Tables_number 1
_symmetry_space_group_name_Hall 'P 1'
loop_
_atom_site_label
_atom_site_type_symbol
_atom_site_fract_x
_atom_site_fract_y
_atom_site_fract_z
Ca1 Ca 0.000 0.000 0.000
La1 La 0.000 0.000 0.561
Pm1 Pm 0.500 0.500 0.295
Cd1 Cd 0.500 0.500 0.790
```